Calculated powder X-ray diffraction pattern of Ag4Au3Br12 for Cu Kα X-rays, from a cell relaxed with GGA-PBE.
Intensities are scaled so that the largest is 100.

Largest 10 diffraction maxima, in order of rising 2θ, 10° ≤ 2θ ≤ 90°:
hkl 1 1 0, 2θ = 11.92°, rel. 43; hkl 2 1 1, 2θ = 20.72°, rel. 32; hkl 2 2 0, 2θ = 23.97°, rel. 81; hkl 3 1 0, 2θ = 26.85°, rel. 47; hkl 4 0 0, 2θ = 34.16°, rel. 33; hkl 4 2 2, 2θ = 42.16°, rel. 100; hkl 5 0 3, 2θ = 50.70°, rel. 22; hkl 6 2 0, 2θ = 55.34°, rel. 28; hkl 6 2 4, 2θ = 66.66°, rel. 20; hkl 6 6 0, 2θ = 77.07°, rel. 39

Structure:
a b c (Å): 10.5001 10.5001 10.5001
angles (deg): 90.00 90.00 90.00
Space group Im-3 (No. 204)
Asymmetric unit:
Ag (0.2500, 0.2500, 0.2500) x8
Au (0.0000, 0.0000, 0.5000) x6
Br (0.0000, 0.3254, 0.1673) x24